LiFe3Cl9: simulated X-ray powder pattern (a wavelength of 1.5418 Å), based on the GGA-PBE geometry in Alexandria.
Kinematic intensities with the Lorentz-polarization factor, no thermal factor.

```
data_LiFe3Cl9
_cell_length_a 15.194
_cell_length_b 10.698
_cell_length_c 12.903
_cell_angle_alpha 90.00
_cell_angle_beta 122.54
_cell_angle_gamma 90.00
_symmetry_space_group_name_H-M 'C 1 c 1'
_symmetry_Int_Tables_number 9
loop_
_symmetry_equiv_pos_as_xyz
'x,y,z'
'x,-y,z+1/2'
'x+1/2,y+1/2,z'
'x+1/2,-y+1/2,z+1/2'
loop_
_atom_site_label
_atom_site_type_symbol
_atom_site_fract_x
_atom_site_fract_y
_atom_site_fract_z
Li1 Li 0.000 0.117 0.000
Fe1 Fe 0.108 0.364 0.865
Fe2 Fe 0.210 0.161 0.690
Fe3 Fe 0.324 0.461 0.647
Cl1 Cl 0.010 0.328 0.941
Cl2 Cl 0.067 0.477 0.247
Cl3 Cl 0.096 0.183 0.755
Cl4 Cl 0.162 0.009 0.074
Cl5 Cl 0.182 0.329 0.560
Cl6 Cl 0.283 0.363 0.024
Cl7 Cl 0.349 0.472 0.322
Cl8 Cl 0.368 0.162 0.844
Cl9 Cl 0.458 0.368 0.655
```

Principal peaks in the range 2θ = 10–90°, most intense first:
2θ (°)  d [Å]  I/Imax  (hkl)
15.60  5.679  100  1 1 1
28.66  3.114  62  1 3 -2
10.78  8.210  59  1 1 0
11.04  8.016  55  1 1 -1
22.45  3.960  42  3 1 0
20.07  4.425  39  3 1 -2
16.15  5.488  32  1 1 -2
26.60  3.351  31  2 2 -3
20.32  4.371  27  2 2 -1
27.52  3.241  23  3 1 1